No. 1
# La5Si2Br2
Simulated X-ray powder pattern, Cu Kα. Input: a crystal structure in Alexandria, relaxed with GGA-PBE.
Intensities are scaled so that the largest is 100.

Top 10 peaks for 10 to 90 degrees two-theta, in order of rising 2θ:
2θ (°)  I (rel.)
24.5  49
25.2  43
29.9  54
31.2  34
31.7  67
32.4  51
33.6  67
35.5  100
37.8  25
56.3  29

Structure:
```
La5Si2Br2
1.0
7.8767 -4.0585 0.0000
7.8767 4.0585 0.0000
0.0000 0.0000 8.1084
La Si Br
10 4 4
Cartesian
0.0000 0.0000 0.0000
5.8832 2.7309 5.3577
5.8832 1.3276 1.3035
9.8702 2.7309 5.3577
9.8702 1.3276 1.3035
7.8767 0.0000 4.0542
5.8832 -1.3276 6.8049
5.8832 -2.7309 2.7507
9.8702 -1.3276 6.8049
9.8702 -2.7309 2.7507
7.8767 2.9487 2.9473
7.8767 1.1099 7.0015
7.8767 -1.1099 1.1069
7.8767 -2.9487 5.1610
3.1240 0.0000 0.0000
4.7527 0.0000 4.0542
11.0006 0.0000 4.0542
12.6294 0.0000 0.0000
```

---

No. 2
# La2Si2Br
Simulated X-ray powder pattern, Cu Kα. Input: a crystal structure in Alexandria, relaxed with GGA-PBE.
Intensities are scaled so that the largest is 100.

Top 10 peaks for 10 to 90 degrees two-theta, in order of rising 2θ:
2θ (°)  I (rel.)
24.8  29
25.6  69
30.3  100
35.0  98
42.7  18
43.3  65
53.7  20
56.8  39
62.4  36
74.0  29

Structure:
```
La2Si2Br
1.0
2.0911 1.2073 8.4640
-2.0911 1.2073 8.4640
0.0000 -2.4146 8.4640
La Si Br
2 2 1
Cartesian
0.0000 0.0000 1.9385
0.0000 0.0000 23.4534
0.0000 0.0000 8.4501
0.0000 0.0000 16.9417
0.0000 0.0000 12.6959
```

---

No. 3
# La8Si3Te4Br
Simulated X-ray powder pattern, Cu Kα. Input: a crystal structure in Alexandria, relaxed with GGA-PBE.
Intensities are scaled so that the largest is 100.

Top 10 peaks for 10 to 90 degrees two-theta, in order of rising 2θ:
2θ (°)  I (rel.)
24.4  8
28.1  100
30.6  9
39.8  36
40.4  38
49.9  20
58.0  12
65.2  14
66.1  17
73.1  11

Structure:
```
La8Si3Te4Br
1.0
4.4646 2.5777 7.4502
-4.4646 2.5777 7.4502
0.0000 -5.1553 7.4502
La Si Te Br
8 3 4 1
Cartesian
-2.3240 -1.3418 12.8695
0.0000 0.0000 5.3977
0.0000 -2.6836 9.4812
-2.3240 1.3418 9.4812
2.3240 -1.3418 12.8695
0.0000 2.6836 12.8695
0.0000 0.0000 16.9530
2.3240 1.3418 9.4812
-4.4646 0.0000 11.1753
-2.2323 1.2888 3.7251
2.2323 1.2888 3.7251
0.0000 0.0000 0.0000
-2.2323 -1.2888 7.4502
-2.2323 1.2888 14.9004
0.0000 2.5777 7.4502
0.0000 0.0000 11.1753
```

---

No. 4
# LaSm2Br6
Simulated X-ray powder pattern, Cu Kα. Input: a crystal structure in Alexandria, relaxed with GGA-PBE.
Intensities are scaled so that the largest is 100.

Top 10 peaks for 10 to 90 degrees two-theta, in order of rising 2θ:
2θ (°)  I (rel.)
13.9  31
16.8  26
22.2  20
25.5  43
27.8  100
34.1  42
39.0  85
40.3  34
41.1  45
62.9  21

Structure:
```
LaSm2Br6
1.0
3.9955 2.3068 5.4086
-3.9955 2.3068 5.4086
0.0000 -4.6136 5.4086
La Sm Br
1 2 6
Cartesian
0.0000 0.0000 0.0000
0.0000 0.0000 8.5874
0.0000 0.0000 12.7735
-2.3057 -0.0008 6.5621
-1.4571 -2.4510 9.1280
1.1536 -1.9963 6.5621
-1.3941 2.4873 9.1280
1.1521 1.9972 6.5621
2.8511 -0.0364 9.1280
```

---

No. 5
# LaSmBr4
Simulated X-ray powder pattern, Cu Kα. Input: a crystal structure in Alexandria, relaxed with GGA-PBE.
Intensities are scaled so that the largest is 100.

Top 10 peaks for 10 to 90 degrees two-theta, in order of rising 2θ:
2θ (°)  I (rel.)
16.9  76
27.6  42
30.3  100
30.9  46
34.9  25
41.5  28
43.4  37
43.8  69
54.2  36
80.0  23

Structure:
```
LaSmBr4
1.0
-2.9477 2.9477 5.7937
2.9477 -2.9477 5.7937
2.9477 2.9477 -5.7937
La Sm Br
1 1 4
Cartesian
0.0000 0.0000 0.0000
2.9477 0.0000 2.8969
0.0000 0.0000 3.0667
0.0000 2.9477 0.0830
0.0000 0.0000 8.5208
0.0000 2.9477 5.7107
```

---

No. 6
# SrLaTlBr6
Simulated X-ray powder pattern, Cu Kα. Input: a crystal structure in Alexandria, relaxed with GGA-PBE.
Intensities are scaled so that the largest is 100.

Top 10 peaks for 10 to 90 degrees two-theta, in order of rising 2θ:
2θ (°)  I (rel.)
18.1  100
25.9  73
29.1  29
34.1  92
37.2  37
39.7  51
50.0  18
53.4  23
67.2  20
68.5  21

Structure:
```
SrLaTlBr6
1.0
7.8616 0.0000 0.0000
-3.9308 6.8084 0.0000
0.0000 0.0000 14.1120
Sr La Tl Br
2 2 2 12
Cartesian
0.0000 4.5389 3.5280
3.9308 2.2695 10.5840
0.0000 4.5389 10.5840
3.9308 2.2695 3.5280
0.0000 0.0000 0.0000
0.0000 0.0000 7.0560
-1.3621 2.5090 8.9170
-2.4390 4.3743 12.2510
1.3621 2.5090 12.2510
-1.0769 6.7334 8.9170
2.8539 0.0749 1.8610
1.4918 2.4341 5.1950
2.4390 4.3743 8.9170
1.0769 6.7334 12.2510
5.0077 0.0749 5.1950
2.5687 4.2993 1.8610
6.3698 2.4341 1.8610
5.2929 4.2993 5.1950
```

---

No. 7
# LaTa4Br
Simulated X-ray powder pattern, Cu Kα. Input: a crystal structure in Alexandria, relaxed with GGA-PBE.
Intensities are scaled so that the largest is 100.

Top 10 peaks for 10 to 90 degrees two-theta, in order of rising 2θ:
2θ (°)  I (rel.)
18.8  31
30.9  15
36.4  100
38.1  57
44.2  13
48.4  7
58.5  35
64.3  31
76.2  11
77.3  21

Structure:
```
LaTa4Br
1.0
0.0000 4.0961 4.0961
4.0961 0.0000 4.0961
4.0961 4.0961 0.0000
La Ta Br
1 4 1
Cartesian
0.0000 0.0000 0.0000
5.1664 3.0257 3.0257
3.0257 5.1664 3.0257
3.0257 3.0257 5.1664
5.1664 5.1664 5.1664
2.0480 2.0480 2.0480
```

---

No. 8
# LaTcBr2
Simulated X-ray powder pattern, Cu Kα. Input: a crystal structure in Alexandria, relaxed with GGA-PBE.
Intensities are scaled so that the largest is 100.

Top 10 peaks for 10 to 90 degrees two-theta, in order of rising 2θ:
2θ (°)  I (rel.)
13.3  100
24.8  22
27.5  30
33.4  81
37.9  30
40.6  18
41.0  90
48.8  15
56.7  13
70.5  18

Structure:
```
LaTcBr2
1.0
-1.8651 2.3749 6.6659
1.8651 -2.3749 6.6659
1.8651 2.3749 -6.6659
La Tc Br
1 1 2
Cartesian
0.0000 0.0000 0.0000
0.0000 0.0000 6.6659
1.8651 0.0000 4.7592
0.0000 2.3749 1.9067
```

---

No. 9
# La6ZnTc2Br3
Simulated X-ray powder pattern, Cu Kα. Input: a crystal structure in Alexandria, relaxed with GGA-PBE.
Intensities are scaled so that the largest is 100.

Top 10 peaks for 10 to 90 degrees two-theta, in order of rising 2θ:
2θ (°)  I (rel.)
11.1  14
28.6  100
31.0  6
35.8  6
38.1  12
39.1  19
42.5  22
43.4  12
52.8  11
59.2  7

Structure:
```
La6ZnTc2Br3
1.0
10.0142 -2.0833 0.0000
10.0142 2.0833 0.0000
-3.3110 0.0000 8.9110
La Zn Tc Br
6 1 2 3
Cartesian
-0.3874 0.0000 2.2324
4.9532 0.0000 3.9679
3.8832 0.0000 7.8512
12.8342 0.0000 1.0597
11.7642 0.0000 4.9430
17.1048 0.0000 6.6786
10.0142 0.0000 0.0000
1.9705 0.0000 2.9012
14.7469 0.0000 6.0098
0.6601 0.0000 7.4196
8.3587 0.0000 4.4555
16.0573 0.0000 1.4913
```

---

No. 10
# La3TeBr3
Simulated X-ray powder pattern, Cu Kα. Input: a crystal structure in Alexandria, relaxed with GGA-PBE.
Intensities are scaled so that the largest is 100.

Top 10 peaks for 10 to 90 degrees two-theta, in order of rising 2θ:
2θ (°)  I (rel.)
10.1  28
22.6  10
28.7  100
36.9  8
41.1  75
50.9  26
59.5  12
67.4  33
74.9  25
89.2  8

Structure:
```
La3TeBr3
1.0
-6.2109 6.2109 6.2109
6.2109 -6.2109 6.2109
6.2109 6.2109 -6.2109
La Te Br
12 4 12
Cartesian
1.5840 1.5527 -1.5214
7.7323 1.5840 -1.5527
1.5527 -1.5214 1.5840
4.6895 4.6269 -1.5527
4.6269 1.5527 1.5214
-1.5214 1.5840 1.5527
4.6269 -1.5527 4.6895
1.5527 1.5214 4.6269
1.5214 4.6269 1.5527
1.5840 -1.5527 7.7323
-1.5527 7.7323 1.5840
-1.5527 4.6895 4.6269
4.6582 1.5527 -1.5527
1.5527 1.5527 1.5527
1.5527 -1.5527 4.6582
-1.5527 4.6582 1.5527
7.7636 1.4776 1.6278
7.7636 -1.4776 4.5831
4.5831 7.7636 -1.4776
4.7333 1.6278 4.6582
4.6582 4.7333 1.6278
1.6278 7.7636 1.4776
7.6885 4.5831 4.6582
1.6278 4.6582 4.7333
1.4776 1.6278 7.7636
4.6582 7.6885 4.5831
-1.4776 4.5831 7.7636
4.5831 4.6582 7.6885
```

---

No. 11
# LaTe2Br
Simulated X-ray powder pattern, Cu Kα. Input: a crystal structure in Alexandria, relaxed with GGA-PBE.
Intensities are scaled so that the largest is 100.

Top 10 peaks for 10 to 90 degrees two-theta, in order of rising 2θ:
2θ (°)  I (rel.)
12.4  61
22.3  19
28.2  100
31.4  36
34.3  30
34.4  43
37.9  29
39.7  37
42.5  19
55.7  28

Structure:
```
LaTe2Br
1.0
7.2026 -2.1254 0.0000
7.2026 2.1254 0.0000
-0.8054 0.0000 5.3056
La Te Br
1 2 1
Cartesian
0.0000 0.0000 0.0000
6.9790 0.0000 2.6213
9.3560 0.0000 1.1727
4.3171 0.0000 4.5615
```

---

No. 12
# La3Te2Br
Simulated X-ray powder pattern, Cu Kα. Input: a crystal structure in Alexandria, relaxed with GGA-PBE.
Intensities are scaled so that the largest is 100.

Top 10 peaks for 10 to 90 degrees two-theta, in order of rising 2θ:
2θ (°)  I (rel.)
27.9  100
28.1  49
40.0  57
40.0  56
49.5  40
57.7  13
65.4  31
65.7  17
72.6  26
72.8  12

Structure:
```
La3Te2Br
1.0
3.1924 -3.1942 0.0000
3.1924 3.1942 0.0000
-3.1776 0.0000 9.5293
La Te Br
3 2 1
Cartesian
0.0000 0.0000 0.0000
0.0097 0.0000 6.4327
3.1974 0.0000 3.0966
0.0044 0.0000 3.2135
3.2027 0.0000 6.3158
3.1924 0.0000 0.0000
```

---

What is the formula in the twelfth record?
La3Te2Br

---

Copy entry 1 word for word.
# La5Si2Br2
Simulated X-ray powder pattern, Cu Kα. Input: a crystal structure in Alexandria, relaxed with GGA-PBE.
Intensities are scaled so that the largest is 100.

Top 10 peaks for 10 to 90 degrees two-theta, in order of rising 2θ:
2θ (°)  I (rel.)
24.5  49
25.2  43
29.9  54
31.2  34
31.7  67
32.4  51
33.6  67
35.5  100
37.8  25
56.3  29

Structure:
```
La5Si2Br2
1.0
7.8767 -4.0585 0.0000
7.8767 4.0585 0.0000
0.0000 0.0000 8.1084
La Si Br
10 4 4
Cartesian
0.0000 0.0000 0.0000
5.8832 2.7309 5.3577
5.8832 1.3276 1.3035
9.8702 2.7309 5.3577
9.8702 1.3276 1.3035
7.8767 0.0000 4.0542
5.8832 -1.3276 6.8049
5.8832 -2.7309 2.7507
9.8702 -1.3276 6.8049
9.8702 -2.7309 2.7507
7.8767 2.9487 2.9473
7.8767 1.1099 7.0015
7.8767 -1.1099 1.1069
7.8767 -2.9487 5.1610
3.1240 0.0000 0.0000
4.7527 0.0000 4.0542
11.0006 0.0000 4.0542
12.6294 0.0000 0.0000
```